Calculated powder XRD pattern of K2RbWS4 for Cu Kα X-rays, from a crystal structure in Alexandria, relaxed with GGA-PBE.
Lines closer than 0.1° are merged.

Crystal structure
a b c (Å): 8.231 8.231 8.104
angles (deg): 90.00 90.00 90.00
Space group I-4 (No. 82)
Asymmetric unit:
K (0.000, 0.000, 0.000) x2
K (0.000, 0.500, 0.250) x2
Rb (0.000, 0.500, 0.750) x2
W (0.000, 0.000, 0.500) x2
S (0.152, 0.166, 0.341) x8

The 12 most intense peaks (2θ = 10–90°), in order of rising 2θ:
| Position (°2θ) | Rel. int. |
| --- | --- |
| 15.22 | 27.4 |
| 15.34 | 100.0 |
| 21.59 | 58.2 |
| 26.60 | 41.0 |
| 26.81 | 95.5 |
| 30.73 | 38.8 |
| 41.08 | 15.6 |
| 41.22 | 70.5 |
| 41.46 | 15.6 |
| 49.53 | 21.2 |
| 50.19 | 20.3 |
| 61.87 | 18.0 |

***

Calculated powder XRD pattern of KRb5Sb2 for Cu Kα X-rays, from a crystal structure in Alexandria, relaxed with GGA-PBE.
Lines closer than 0.1° are merged.

Crystal structure
a b c (Å): 6.5556 6.5556 23.4016
angles (deg): 90.00 90.00 120.00
Space group P6_3/mmc (No. 194)
Asymmetric unit:
K (0.3333, 0.6667, 0.2500) x2
Rb (0.0000, 0.0000, 0.1174) x4
Rb (0.3333, 0.6667, 0.5512) x4
Rb (0.3333, 0.6667, 0.7500) x2
Sb (0.3333, 0.6667, 0.1093) x4

The 12 most intense peaks (2θ = 10–90°), in order of rising 2θ:
| Position (°2θ) | Rel. int. |
| --- | --- |
| 15.14 | 12.1 |
| 21.81 | 14.7 |
| 22.80 | 14.1 |
| 24.65 | 31.1 |
| 27.21 | 100.0 |
| 31.04 | 22.4 |
| 31.28 | 12.7 |
| 35.78 | 25.9 |
| 48.08 | 20.2 |
| 50.54 | 12.1 |
| 53.85 | 12.8 |
| 56.12 | 12.6 |

***

Calculated powder XRD pattern of K6Rb12Sb for Cu Kα X-rays, from a crystal structure in Alexandria, relaxed with GGA-PBE.
Lines closer than 0.1° are merged.

Crystal structure
a b c (Å): 16.0496 16.0496 19.0330
angles (deg): 90.00 90.00 120.00
Space group R-3 (No. 148, hexagonal axes)
Asymmetric unit:
K (0.0683, 0.8635, 0.4076) x18
Rb (0.0347, 0.1714, 0.8224) x18
Rb (0.0494, 0.4492, 0.7059) x18
Sb (0.0000, 0.0000, 0.0000) x3

The 12 most intense peaks (2θ = 10–90°), in order of rising 2θ:
| Position (°2θ) | Rel. int. |
| --- | --- |
| 17.82 | 18.5 |
| 23.55 | 100.0 |
| 23.78 | 46.2 |
| 24.24 | 48.0 |
| 24.92 | 82.7 |
| 25.25 | 59.8 |
| 26.07 | 20.4 |
| 26.28 | 24.7 |
| 29.50 | 34.0 |
| 40.58 | 29.0 |
| 43.07 | 30.1 |
| 43.75 | 23.9 |

***

Calculated powder XRD pattern of K2Rb4SnSb2 for Cu Kα X-rays, from a crystal structure in Alexandria, relaxed with GGA-PBE.
Lines closer than 0.1° are merged.

Crystal structure
a b c (Å): 5.640 10.636 15.070
angles (deg): 90.00 90.00 90.00
Space group Immm (No. 71)
Asymmetric unit:
K (0.000, 0.000, 0.141) x4
Rb (0.000, 0.199, 0.365) x8
Sn (0.000, 0.500, 0.000) x2
Sb (0.000, 0.500, 0.215) x4

The 12 most intense peaks (2θ = 10–90°), in order of rising 2θ:
| Position (°2θ) | Rel. int. |
| --- | --- |
| 10.18 | 58.3 |
| 11.75 | 15.7 |
| 23.74 | 89.7 |
| 29.09 | 63.5 |
| 29.75 | 100.0 |
| 30.85 | 21.5 |
| 31.73 | 36.0 |
| 33.71 | 36.3 |
| 39.23 | 15.3 |
| 43.55 | 21.3 |
| 51.96 | 36.7 |
| 55.30 | 17.1 |

***

Calculated powder XRD pattern of KRb2TlSb2 for Cu Kα X-rays, from a crystal structure in Alexandria, relaxed with GGA-PBE.
Lines closer than 0.1° are merged.

Crystal structure
a b c (Å): 8.115 16.457 7.777
angles (deg): 90.00 90.00 90.00
Space group Ibam (No. 72)
Asymmetric unit:
K (0.000, 0.000, 0.250) x4
Rb (0.224, 0.327, 0.000) x8
Tl (0.000, 0.500, 0.250) x4
Sb (0.203, 0.399, 0.500) x8

The 12 most intense peaks (2θ = 10–90°), in order of rising 2θ:
| Position (°2θ) | Rel. int. |
| --- | --- |
| 10.75 | 59.9 |
| 12.16 | 100.0 |
| 24.46 | 30.4 |
| 25.33 | 27.2 |
| 26.86 | 55.5 |
| 30.25 | 20.6 |
| 30.95 | 48.2 |
| 31.66 | 53.0 |
| 31.88 | 76.0 |
| 41.01 | 25.4 |
| 42.70 | 15.6 |
| 57.08 | 24.9 |

***

Calculated powder XRD pattern of KRbSiSe3 for Cu Kα X-rays, from a crystal structure in Alexandria, relaxed with GGA-PBE.
Lines closer than 0.1° are merged.

Crystal structure
a b c (Å): 9.583 9.986 10.029
angles (deg): 90.00 92.40 90.00
Space group C2/m (No. 12)
Asymmetric unit:
K (0.000, 0.237, 0.000) x4
Rb (0.185, 0.500, 0.622) x4
Si (0.176, 0.500, 0.211) x4
Se (0.129, 0.312, 0.313) x8
Se (0.244, 0.500, 0.004) x4

The 12 most intense peaks (2θ = 10–90°), in order of rising 2θ:
| Position (°2θ) | Rel. int. |
| --- | --- |
| 12.81 | 95.7 |
| 18.53 | 39.2 |
| 20.22 | 36.4 |
| 22.23 | 36.6 |
| 25.78 | 85.4 |
| 26.69 | 100.0 |
| 27.04 | 89.5 |
| 29.38 | 48.8 |
| 29.90 | 38.5 |
| 31.90 | 93.9 |
| 33.44 | 71.2 |
| 42.53 | 31.9 |